Diffraction record for Li2MnSi2O6. The powder diffraction line list is computed, not measured: it uses a DFT-relaxed cell (PBE+U, Alexandria) and λ = 1.5418 Å (Cu Kα).
Lines closer than 0.1° are merged.

Largest 8 diffraction maxima, in order of rising 2θ, 2θ from 15° to 90°:
2θ 21.8, I 1000; 2θ 26.1, I 86; 2θ 28.5, I 175; 2θ 34.6, I 332; 2θ 36.4, I 100; 2θ 36.9, I 148; 2θ 38.9, I 117; 2θ 63.2, I 109

Atomic structure:
Unit cell a=10.491 b=5.187 c=10.509 alpha=75.51 beta=28.60 gamma=75.89
Sites, in units of the cell vectors:
Li  0.061  0.439  0.103
Li  0.147  0.853  0.189
Li  0.439  0.061  0.397
Li  0.853  0.147  0.811
Mn  0.004  0.004  0.996
Mn  0.254  0.254  0.246
Si  0.198  0.666  0.469
Si  0.584  0.781  0.584
Si  0.666  0.198  0.666
Si  0.781  0.584  0.052
O  0.178  0.628  0.339
O  0.201  0.977  0.473
O  0.395  0.911  0.622
O  0.472  0.491  0.304
O  0.491  0.472  0.734
O  0.516  0.946  0.759
O  0.628  0.178  0.855
O  0.777  0.901  0.049
O  0.901  0.777  0.273
O  0.911  0.395  0.072
O  0.946  0.516  0.778
O  0.977  0.201  0.349